The following is a simulated powder diffraction line list of Ce2PmSmSb5. It was derived from a crystal structure in Alexandria, relaxed with GGA-PBE, using Cu Kα (λ = 1.5418 Å).
Neutral-atom scattering factors, no anomalous dispersion.

Largest 10 diffraction maxima, low angle first, 2θ from 10° to 80°:
Position (°2θ)	I_rel
23.44	86
24.64	29
27.98	24
30.40	54
32.84	40
33.38	100
38.73	35
45.77	70
47.93	36
57.82	35

Structure:
Lattice parameters (Å, degrees): 5.368 5.368 11.763 90.00 90.00 90.00
Space group P4/mmm (No. 123)
Symmetry-distinct sites (fractional):
Ce  0.000  0.000  0.217 [2 per cell]
Pm  0.500  0.500  0.500 [1 per cell]
Sm  0.500  0.500  0.000 [1 per cell]
Sb  0.000  0.000  0.500 [1 per cell]
Sb  0.000  0.500  0.000 [2 per cell]
Sb  0.500  0.500  0.252 [2 per cell]